LaAs12Os4: theoretical powder X-ray diffraction pattern (λ = 1.5418 Å (Cu Kα)), based on a DFT-relaxed cell (GGA-PBE, Alexandria).

Main lines, low angle first (2θ = 10–90°):
d = 4.319 Å, rel. 56; d = 3.054 Å, rel. 100; d = 2.731 Å, rel. 95; d = 2.493 Å, rel. 20; d = 2.308 Å, rel. 44; d = 1.931 Å, rel. 82; d = 1.763 Å, rel. 93; d = 1.694 Å, rel. 36; d = 1.366 Å, rel. 32; d = 1.154 Å, rel. 19

Structure:
```
LaAs12Os4
1.0
-4.3187 4.3187 4.3187
4.3187 -4.3187 4.3187
4.3187 4.3187 -4.3187
La As Os
1 12 4
Cartesian
0.0000 0.0000 0.0000
3.0052 1.2950 0.0000
5.6323 1.2950 0.0000
4.3187 -1.3136 3.0238
3.0238 4.3187 -1.3136
1.2950 0.0000 3.0052
0.0000 3.0052 1.2950
4.3187 1.3136 3.0238
3.0238 4.3187 1.3136
1.2950 0.0000 5.6323
0.0000 5.6323 1.2950
-1.3136 3.0238 4.3187
1.3136 3.0238 4.3187
2.1594 2.1594 -2.1594
2.1594 -2.1594 2.1594
-2.1594 2.1594 2.1594
2.1594 2.1594 2.1594
```